Diffraction record for Rb2BeTlAs2. The PXRD pattern is calculated, not measured: it uses the PBE geometry in Alexandria and Cu Kα X-rays.
Intensities are scaled so that the largest is 100.

Crystal structure
```
data_Rb2BeTlAs2
_symmetry_space_group_name_H-M 'I b a m'
_symmetry_Int_Tables_number 72
_symmetry_space_group_name_Hall '-I 2 2c'
_cell_length_a 6.959
_cell_length_b 15.656
_cell_length_c 6.535
_cell_angle_alpha 90.00
_cell_angle_beta 90.00
_cell_angle_gamma 90.00
loop_
_atom_site_label
_atom_site_fract_x
_atom_site_fract_y
_atom_site_fract_z
Rb1 0.249 0.172 0.000
Be1 0.000 0.500 0.250
Tl1 0.000 0.000 0.250
As1 0.184 0.417 0.000
```

Peak list (12 most intense, 2θ = 5–70°, by angle)
two_theta  d_spacing  Rel. int.  (hkl)
11.3  7.828  78  0 2 0
13.9  6.359  50  1 1 0
21.3  4.175  38  1 3 0
28.1  3.179  33  2 2 0
29.6  3.022  100  1 4 1
30.8  2.906  51  1 1 2
31.3  2.855  25  1 5 0
34.5  2.600  33  2 4 0
34.9  2.573  23  1 3 2
35.8  2.508  34  0 4 2
37.8  2.382  57  2 0 2
39.3  2.295  22  3 1 0